Starting from DFT lattice parameters and positions (GGA-PBE), the powder X-ray diffraction pattern of TbB12 was computed for Cu Kα.
Neutral-atom scattering factors, no anomalous dispersion.

Main lines, low angle first (10 to 80 degrees two-theta):
hkl	2θ/deg	I (rel.)
1 1 1	20.5	94
2 0 0	23.7	72
2 2 0	33.8	42
3 1 1	39.8	100
2 2 2	41.7	30
3 3 1	53.2	33
4 2 2	60.4	29
5 3 1	74.8	31

a = 7.509 Å, b = 7.509 Å, c = 7.509 Å
α = 90.00°, β = 90.00°, γ = 90.00°
Space group Fm-3m (No. 225)
Inequivalent atoms, fractional coordinates:
1 Tb 0.000 0.000 0.000 [4 per cell]
2 B 0.000 0.169 0.331 [48 per cell]

=====

Starting from DFT lattice parameters and positions (GGA-PBE), the powder X-ray diffraction pattern of Ti9O17 was computed for Cu Kα.
Neutral-atom scattering factors, no anomalous dispersion.

Main lines, low angle first (10 to 80 degrees two-theta):
hkl	2θ/deg	I (rel.)
1 0 -3	24.1	42
1 -2 1	26.4	65
1 -2 2	27.9	76
1 0 -4	28.8	100
1 0 5	35.6	39
1 2 0	35.9	35
-1 4 2	54.2	54
2 -4 3	55.6	43

a = 5.577 Å, b = 7.198 Å, c = 14.901 Å
α = 96.83°, β = 90.62°, γ = 108.63°
Space group P-1 (No. 2)
Inequivalent atoms, fractional coordinates:
1 Ti 0.000 0.000 0.000 [1 per cell]
2 Ti 0.000 0.500 0.000 [1 per cell]
3 Ti 0.169 0.407 0.773 [2 per cell]
4 Ti 0.173 0.908 0.774 [2 per cell]
5 Ti 0.250 0.900 0.341 [2 per cell]
6 Ti 0.251 0.404 0.340 [2 per cell]
7 Ti 0.303 0.310 0.540 [2 per cell]
8 Ti 0.303 0.813 0.543 [2 per cell]
9 Ti 0.409 0.793 0.113 [2 per cell]
10 Ti 0.415 0.295 0.113 [2 per cell]
11 O 0.043 0.821 0.458 [2 per cell]
12 O 0.045 0.114 0.728 [2 per cell]
13 O 0.060 0.634 0.127 [2 per cell]
14 O 0.106 0.761 0.640 [2 per cell]
15 O 0.126 0.287 0.037 [2 per cell]
16 O 0.140 0.613 0.309 [2 per cell]
17 O 0.193 0.261 0.224 [2 per cell]
18 O 0.226 0.034 0.893 [2 per cell]
19 O 0.286 0.688 0.805 [2 per cell]
20 O 0.291 0.011 0.080 [2 per cell]
21 O 0.297 0.541 0.479 [2 per cell]
22 O 0.352 0.185 0.405 [2 per cell]
23 O 0.359 0.667 0.990 [2 per cell]
24 O 0.387 0.449 0.658 [2 per cell]
25 O 0.458 0.105 0.571 [2 per cell]
26 O 0.458 0.413 0.845 [2 per cell]
27 O 0.479 0.941 0.245 [2 per cell]

=====

Starting from DFT lattice parameters and positions (GGA-PBE), the powder X-ray diffraction pattern of W2C was computed for Cu Kα.
Neutral-atom scattering factors, no anomalous dispersion.

Main lines, low angle first (10 to 80 degrees two-theta):
hkl	2θ/deg	I (rel.)
0 1 1	34.1	26
2 0 0	38.0	36
1 2 0	39.0	58
1 1 1	39.1	100
2 1 1	51.9	20
0 3 1	60.7	21
3 1 1	69.4	19
2 3 1	73.9	21

a = 4.740 Å, b = 5.296 Å, c = 3.034 Å
α = 90.00°, β = 90.00°, γ = 90.00°
Space group Pnnm (No. 58)
Inequivalent atoms, fractional coordinates:
1 W 0.243 0.160 0.000 [4 per cell]
2 C 0.000 0.500 0.000 [2 per cell]

=====

Starting from DFT lattice parameters and positions (GGA-PBE), the powder X-ray diffraction pattern of TmCdAg2 was computed for Cu Kα.
Neutral-atom scattering factors, no anomalous dispersion.

Main lines, low angle first (10 to 80 degrees two-theta):
hkl	2θ/deg	I (rel.)
1 1 1	22.2	2
2 0 0	25.7	2
2 2 0	36.6	100
3 1 1	43.2	1
4 0 0	52.7	17
4 2 0	59.6	1
4 2 2	65.9	34
4 4 0	77.8	11

a = 6.942 Å, b = 6.942 Å, c = 6.942 Å
α = 90.00°, β = 90.00°, γ = 90.00°
Space group Fm-3m (No. 225)
Inequivalent atoms, fractional coordinates:
1 Tm 0.000 0.000 0.000 [4 per cell]
2 Cd 0.000 0.000 0.500 [4 per cell]
3 Ag 0.250 0.250 0.250 [8 per cell]

=====

Starting from DFT lattice parameters and positions (GGA-PBE), the powder X-ray diffraction pattern of K3NaMgRu2O8 was computed for Cu Kα.
Neutral-atom scattering factors, no anomalous dispersion.

Main lines, low angle first (10 to 80 degrees two-theta):
hkl	2θ/deg	I (rel.)
2 0 0	14.5	48
2 0 -1	18.0	68
1 1 -1	19.8	72
1 1 1	20.4	52
3 1 0	26.3	100
1 1 -2	28.4	65
0 2 0	29.2	86
2 2 2	41.6	64

a = 12.237 Å, b = 6.109 Å, c = 7.520 Å
α = 90.00°, β = 94.44°, γ = 90.00°
Space group C2/m (No. 12)
Inequivalent atoms, fractional coordinates:
1 K 0.000 0.000 0.000 [2 per cell]
2 K 0.240 0.500 0.340 [4 per cell]
3 Na 0.000 0.000 0.500 [2 per cell]
4 Mg 0.000 0.500 0.500 [2 per cell]
5 Ru 0.178 0.500 0.791 [4 per cell]
6 O 0.095 0.290 0.643 [8 per cell]
7 O 0.148 0.500 0.016 [4 per cell]
8 O 0.183 0.000 0.271 [4 per cell]

=====

Starting from DFT lattice parameters and positions (GGA-PBE), the powder X-ray diffraction pattern of Li2GaCuF6 was computed for Cu Kα.
Neutral-atom scattering factors, no anomalous dispersion.

Main lines, low angle first (10 to 80 degrees two-theta):
hkl	2θ/deg	I (rel.)
2 0 0	21.9	100
2 2 0	31.2	35
4 0 0	44.7	34
4 2 0	50.3	38
4 2 2	55.5	14
4 4 0	65.0	18
6 0 0	69.5	16
6 2 0	73.9	6

a = 8.111 Å, b = 8.111 Å, c = 8.111 Å
α = 90.00°, β = 90.00°, γ = 90.00°
Space group Fm-3m (No. 225)
Inequivalent atoms, fractional coordinates:
1 Li 0.250 0.250 0.250 [8 per cell]
2 Ga 0.000 0.000 0.000 [4 per cell]
3 Cu 0.000 0.000 0.500 [4 per cell]
4 F 0.000 0.000 0.237 [24 per cell]

=====

Starting from DFT lattice parameters and positions (GGA-PBE), the powder X-ray diffraction pattern of EuBRh3 was computed for Cu Kα.
Neutral-atom scattering factors, no anomalous dispersion.

Main lines, low angle first (10 to 80 degrees two-theta):
hkl	2θ/deg	I (rel.)
1 0 0	20.9	2
1 1 0	29.7	4
1 1 1	36.5	100
2 0 0	42.5	52
2 1 1	52.6	1
2 2 0	61.6	34
3 1 1	73.8	38
2 2 2	77.7	12

a = 4.259 Å, b = 4.259 Å, c = 4.259 Å
α = 90.00°, β = 90.00°, γ = 90.00°
Space group Pm-3m (No. 221)
Inequivalent atoms, fractional coordinates:
1 Eu 0.000 0.000 0.000 [1 per cell]
2 B 0.500 0.500 0.500 [1 per cell]
3 Rh 0.000 0.500 0.500 [3 per cell]

=====

Starting from DFT lattice parameters and positions (GGA-PBE), the powder X-ray diffraction pattern of SnGeS3 was computed for Cu Kα.
Neutral-atom scattering factors, no anomalous dispersion.

Main lines, low angle first (10 to 80 degrees two-theta):
hkl	2θ/deg	I (rel.)
1 0 0	11.6	85
1 1 0	14.3	64
1 2 0	20.4	100
1 1 1	21.6	54
1 2 -1	22.6	63
1 3 0	27.8	70
2 1 1	31.2	100
0 4 1	36.4	49

a = 7.880 Å, b = 10.640 Å, c = 6.919 Å
α = 90.00°, β = 105.37°, γ = 90.00°
Space group P2_1/c (No. 14)
Inequivalent atoms, fractional coordinates:
1 Sn 0.118 0.069 0.278 [4 per cell]
2 Ge 0.298 0.719 0.486 [4 per cell]
3 S 0.054 0.665 0.906 [4 per cell]
4 S 0.207 0.520 0.427 [4 per cell]
5 S 0.483 0.732 0.797 [4 per cell]

=====

Starting from DFT lattice parameters and positions (GGA-PBE), the powder X-ray diffraction pattern of Nb3Pt was computed for Cu Kα.
Neutral-atom scattering factors, no anomalous dispersion.

Main lines, low angle first (10 to 80 degrees two-theta):
hkl	2θ/deg	I (rel.)
1 1 0	24.2	23
2 0 0	34.5	45
2 1 0	38.7	58
2 1 1	42.5	100
3 1 0	55.8	5
3 2 0	64.5	12
3 2 1	67.3	51
4 0 0	72.6	14

a = 5.206 Å, b = 5.206 Å, c = 5.206 Å
α = 90.00°, β = 90.00°, γ = 90.00°
Space group Pm-3n (No. 223)
Inequivalent atoms, fractional coordinates:
1 Nb 0.000 0.250 0.500 [6 per cell]
2 Pt 0.000 0.000 0.000 [2 per cell]